Structure and calculated X-ray powder pattern of Li3VF7 (a GGA+U-relaxed structure; Cu Kα (weighted mean of Kα1 and Kα2)).
Kinematic intensities with the Lorentz-polarization factor, no thermal factor.

Structural model:
```
Li3VF7
1.0
3.0738 1.7747 4.5415
-3.0738 1.7747 4.5415
0.0000 -3.5493 4.5415
Li V F
3 1 7
Cartesian
0.0000 -1.7211 4.5415
-1.4905 0.8605 4.5415
1.4905 0.8605 4.5415
0.0000 0.0000 7.4859
0.0000 0.0000 4.0978
-1.3874 -0.8010 8.5984
0.0000 -1.5492 6.4865
-1.3416 0.7746 6.4865
1.3416 0.7746 6.4865
1.3874 -0.8010 8.5984
0.0000 1.6020 8.5984
```

Most intense lines, 2θ = 10–90°, by angle:
d [Å]  two_theta  Rel. int.
4.959  17.9  100
4.541  19.5  21
4.195  21.2  66
2.546  35.3  17
2.479  36.2  19
2.097  43.1  47
1.537  60.2  18
1.435  65.0  14